1.
Theoretical PXRD pattern
Compound: B2PdAuI
Radiation: Cu Ka
Structure: a DFT-relaxed cell (GGA-PBE, Alexandria)
Peak positions follow from Bragg's law for the DFT cell and can differ from measured ones.

Cell and atoms:
```
data_B2PdAuI
_space_group_name_H-M_alt 'P 1'
_space_group_IT_number 1
_space_group_name_Hall 'P 1'
_cell_length_a 3.186
_cell_length_b 4.111
_cell_length_c 8.519
_cell_angle_alpha 89.34
_cell_angle_beta 80.27
_cell_angle_gamma 90.00
loop_
_atom_site_label
_atom_site_type_symbol
_atom_site_fract_x
_atom_site_fract_y
_atom_site_fract_z
B1 B 0.000 0.000 0.000
B2 B 0.499 0.000 0.000
Pd1 Pd 0.633 0.994 0.258
Au1 Au 0.204 0.498 0.101
I1 I 0.011 0.988 0.528
```

Main lines, by intensity (2θ = 10–80°):
| 2θ/deg | d/Å | intensity |
| --- | --- | --- |
| 10.5 | 8.396 | 100 |
| 39.3 | 2.290 | 28 |
| 21.2 | 4.198 | 27 |
| 39.1 | 2.302 | 26 |
| 24.2 | 3.675 | 26 |
| 24.0 | 3.709 | 26 |
| 36.2 | 2.484 | 21 |
| 36.0 | 2.495 | 18 |
| 38.6 | 2.332 | 17 |
| 44.1 | 2.055 | 14 |

***

2.
Theoretical PXRD pattern
Compound: SiBAuI
Radiation: Cu Ka
Structure: a DFT-relaxed cell (GGA-PBE, Alexandria)
Peak positions follow from Bragg's law for the DFT cell and can differ from measured ones.

Cell and atoms:
```
data_SiBAuI
_space_group_name_H-M_alt 'P 1'
_space_group_IT_number 1
_space_group_name_Hall 'P 1'
_cell_length_a 3.650
_cell_length_b 3.706
_cell_length_c 7.261
_cell_angle_alpha 89.85
_cell_angle_beta 75.55
_cell_angle_gamma 89.95
loop_
_atom_site_label
_atom_site_type_symbol
_atom_site_fract_x
_atom_site_fract_y
_atom_site_fract_z
Si1 Si 0.000 0.000 0.000
B1 B 0.443 0.999 0.115
Au1 Au 0.367 0.499 0.270
I1 I 0.140 0.501 0.718
```

Main lines, by intensity (2θ = 10–80°):
| 2θ/deg | d/Å | intensity |
| --- | --- | --- |
| 35.1 | 2.556 | 100 |
| 25.2 | 3.533 | 79 |
| 24.0 | 3.706 | 57 |
| 25.3 | 3.516 | 48 |
| 40.5 | 2.228 | 33 |
| 47.6 | 1.910 | 32 |
| 35.2 | 2.547 | 30 |
| 31.1 | 2.880 | 28 |
| 56.0 | 1.641 | 23 |
| 62.6 | 1.485 | 17 |